Structure and theoretical powder XRD pattern of SmDyCo4O12 (a structure optimized by DFT (GGA+U); Cu Kα).
Lines closer than 0.1° are merged.

Atomic structure:
```
data_SmDyCo4O12
_cell_length_a 5.2469
_cell_length_b 5.2469
_cell_length_c 7.4625
_cell_angle_alpha 90.00
_cell_angle_beta 90.00
_cell_angle_gamma 90.00
_symmetry_space_group_name_H-M 'P 4/m m m'
_symmetry_Int_Tables_number 123
_symmetry_space_group_name_Hall '-P 4 2'
loop_
_atom_site_label
_atom_site_fract_x
_atom_site_fract_y
_atom_site_fract_z
Sm1 0.0000 0.0000 0.0000
Dy1 0.5000 0.5000 0.5000
Co1 0.0000 0.5000 0.2506
O1 0.0000 0.5000 0.0000
O2 0.0000 0.5000 0.5000
O3 0.2518 0.2518 0.2533
```

The 10 most intense peaks (10° ≤ 2θ ≤ 90°), in order of falling intensity:
2θ = 34.1°, I 100, (2 0 0); 2θ = 20.7°, I 93, (1 0 1); 2θ = 40.3°, I 33, (2 1 1); 2θ = 49.1°, I 26, (2 2 0); 2θ = 61.1°, I 25, (3 1 2); 2θ = 40.1°, I 17, (1 0 3); 2θ = 71.8°, I 15, (2 2 4); 2θ = 53.7°, I 15, (2 1 3); 2θ = 48.8°, I 13, (0 0 4); 2θ = 60.9°, I 13, (2 0 4)